1.
Computed powder diffraction line list
Compound: LaNdSmY
Radiation: CuKα
Structure: a crystal structure in Alexandria, relaxed with PBE
No peak broadening, texture or thermal motion is included.

Cell and atoms:
Lattice parameters (Å, degrees): 5.171 5.171 10.388 90.00 90.00 90.00
Space group I-4m2 (No. 119)
Asymmetric unit:
La 0.000 0.000 0.000 x2
Nd 0.000 0.500 0.250 x2
Sm 0.000 0.500 0.750 x2
Y 0.000 0.000 0.500 x2

Peak list (10 most intense, 2θ = 10–80°, in order of rising 2θ)
2θ 19.17, d = 4.629 Å, intensity 2
2θ 29.88, d = 2.990 Å, intensity 100
2θ 34.54, d = 2.597 Å, intensity 17
2θ 34.70, d = 2.586 Å, intensity 34
2θ 49.76, d = 1.832 Å, intensity 24
2θ 49.88, d = 1.828 Å, intensity 12
2θ 59.03, d = 1.565 Å, intensity 14
2θ 59.24, d = 1.560 Å, intensity 28
2θ 62.09, d = 1.495 Å, intensity 12
2θ 73.22, d = 1.293 Å, intensity 4

2.
Computed powder diffraction line list
Compound: Ba2CdIr3O12
Radiation: CuKα
Structure: a crystal structure in Alexandria, relaxed with PBE
No peak broadening, texture or thermal motion is included.

Cell and atoms:
Lattice parameters (Å, degrees): 7.2899 7.2899 16.8719 90.00 90.00 120.00
Space group R-3m (No. 166, hexagonal axes)
Asymmetric unit:
Ba 0.0000 0.0000 0.1105 x6
Cd 0.0000 0.0000 0.5000 x3
Ir 0.0000 0.5000 0.0000 x9
O 0.0120 0.5060 0.8886 x18
O 0.0487 0.5244 0.3291 x18

Peak list (10 most intense, 2θ = 10–80°, in order of rising 2θ)
2θ 15.76, d = 5.624 Å, intensity 41
2θ 25.40, d = 3.507 Å, intensity 24
2θ 28.77, d = 3.103 Å, intensity 100
2θ 29.20, d = 3.059 Å, intensity 81
2θ 30.03, d = 2.976 Å, intensity 50
2θ 30.23, d = 2.956 Å, intensity 90
2θ 46.05, d = 1.971 Å, intensity 24
2θ 46.62, d = 1.948 Å, intensity 26
2θ 50.05, d = 1.822 Å, intensity 55
2θ 52.16, d = 1.754 Å, intensity 32